For Sm4SbSe2S, a cell relaxed with PBE gives the calculated X-ray diffraction stick pattern in this record (Cu Kα X-rays).

Main lines, in order of rising 2θ (2θ = 10–90°):
| h k l | Position (°2θ) | d (Å) | Rel. int. |
| --- | --- | --- | --- |
| 2 0 2 | 25.93 | 3.436 | 90 |
| 2 2 0 | 29.95 | 2.983 | 1000 |
| 0 4 0 | 42.71 | 2.117 | 122 |
| 2 2 4 | 42.86 | 2.110 | 487 |
| 4 0 0 | 43.06 | 2.101 | 122 |
| 0 4 4 | 53.02 | 1.727 | 126 |
| 4 0 4 | 53.32 | 1.718 | 127 |
| 4 4 0 | 62.23 | 1.492 | 115 |
| 4 4 4 | 70.58 | 1.334 | 207 |
| 0 4 8 | 78.33 | 1.221 | 112 |

```
data_Sm4SbSe2S
_chemical_formula_sum 'Sm16 Sb4 Se8 S4'
_cell_length_a 8.4029
_cell_length_b 8.4687
_cell_length_c 11.9422
_cell_angle_alpha 90.00
_cell_angle_beta 90.00
_cell_angle_gamma 90.00
_space_group_name_H-M_alt 'I m m a'
_space_group_IT_number 74
_space_group_name_Hall '-I 2b 2'
loop_
_atom_site_label
_atom_site_type_symbol
_atom_site_fract_x
_atom_site_fract_y
_atom_site_fract_z
Sm1 Sm 0.0000 0.0156 0.2450
Sm2 Sm 0.2394 0.2500 0.0088
Sb1 Sb 0.0000 0.0000 0.5000
Se1 Se 0.0000 0.0000 0.0000
Se2 Se 0.2500 0.2500 0.7500
S1 S 0.2500 0.2500 0.2500
```

For Cu3BiBr9, a cell relaxed with PBE gives the calculated X-ray diffraction stick pattern in this record (Cu Kα X-rays).

Main lines, in order of rising 2θ (2θ = 10–90°):
| h k l | Position (°2θ) | d (Å) | Rel. int. |
| --- | --- | --- | --- |
| 1 1 -1 | 12.50 | 7.081 | 283 |
| 1 1 1 | 16.39 | 5.408 | 1000 |
| 3 1 -3 | 22.34 | 3.979 | 235 |
| 2 2 -1 | 23.28 | 3.821 | 176 |
| 2 2 0 | 24.24 | 3.671 | 172 |
| 3 1 -4 | 28.42 | 3.140 | 258 |
| 4 2 0 | 31.29 | 2.859 | 238 |
| 3 1 2 | 31.95 | 2.801 | 177 |
| 7 1 -5 | 37.59 | 2.393 | 209 |
| 2 4 -2 | 45.75 | 1.983 | 305 |

```
data_Cu3BiBr9
_chemical_formula_sum 'Cu12 Bi4 Br36'
_cell_length_a 19.9190
_cell_length_b 8.2923
_cell_length_c 13.6678
_cell_angle_alpha 90.00
_cell_angle_beta 127.56
_cell_angle_gamma 90.00
_space_group_name_H-M_alt 'C 1 c 1'
_space_group_IT_number 9
loop_
_space_group_symop_operation_xyz
'x,y,z'
'x,-y,z+1/2'
'x+1/2,y+1/2,z'
'x+1/2,-y+1/2,z+1/2'
loop_
_atom_site_label
_atom_site_type_symbol
_atom_site_fract_x
_atom_site_fract_y
_atom_site_fract_z
Cu1 Cu 0.0000 0.0516 0.0000
Cu2 Cu 0.1094 0.4029 0.9315
Cu3 Cu 0.4021 0.1320 0.6080
Bi1 Bi 0.2546 0.2388 0.7629
Br1 Br 0.0430 0.3728 0.2961
Br2 Br 0.0672 0.1291 0.9094
Br3 Br 0.1246 0.4780 0.6042
Br4 Br 0.1306 0.0074 0.2032
Br5 Br 0.2347 0.3637 0.9449
Br6 Br 0.2715 0.1129 0.5818
Br7 Br 0.3736 0.4874 0.8004
Br8 Br 0.3957 0.0706 0.9706
Br9 Br 0.4214 0.4055 0.5784
```